Sn3Bi2: theoretical powder XRD pattern (Cu Kα X-rays), based on a cell relaxed with PBE.
Neutral-atom scattering factors, no anomalous dispersion.

Peak list (8 most intense, 15° ≤ 2θ ≤ 90°, in order of rising 2θ)
h k l	two_theta	I (rel.)
1 1 0	21.6	91
1 1 3	26.6	62
0 0 6	31.0	61
0 2 4	32.6	78
2 1 1	33.7	42
3 0 0	37.9	57
2 1 4	39.5	100
4 1 0	59.5	62

Structural model:
```
data_Sn3Bi2
_chemical_formula_sum 'Sn18 Bi12'
_symmetry_space_group_name_H-M 'R -3 c'
_symmetry_Int_Tables_number 167
_symmetry_space_group_name_Hall '-R 3 2"c'
_cell_length_a 8.2170
_cell_length_b 8.2170
_cell_length_c 17.2894
_cell_angle_alpha 90.00
_cell_angle_beta 90.00
_cell_angle_gamma 120.00
loop_
_atom_site_label
_atom_site_type_symbol
_atom_site_fract_x
_atom_site_fract_y
_atom_site_fract_z
Sn1 Sn 0.0000 0.2404 0.2500
Bi1 Bi 0.0000 0.0000 0.1024
```

***

Sr3CuRh2: theoretical powder XRD pattern (Cu Kα X-rays), based on a cell relaxed with PBE.
Neutral-atom scattering factors, no anomalous dispersion.

Peak list (8 most intense, 15° ≤ 2θ ≤ 90°, in order of rising 2θ)
h k l	two_theta	I (rel.)
1 1 0	20.5	32
1 1 3	27.0	75
3 0 0	35.9	100
1 1 6	41.2	78
2 2 3	45.5	18
2 2 6	55.7	31
3 3 0	64.5	17
4 1 6	68.1	33

Structural model:
```
data_Sr3CuRh2
_chemical_formula_sum 'Sr18 Cu6 Rh12'
_symmetry_space_group_name_H-M 'R -3 c'
_symmetry_Int_Tables_number 167
_symmetry_space_group_name_Hall '-R 3 2"c'
_cell_length_a 8.6660
_cell_length_b 8.6660
_cell_length_c 15.2529
_cell_angle_alpha 90.00
_cell_angle_beta 90.00
_cell_angle_gamma 120.00
loop_
_atom_site_label
_atom_site_type_symbol
_atom_site_fract_x
_atom_site_fract_y
_atom_site_fract_z
Sr1 Sr 0.0000 0.3258 0.2500
Cu1 Cu 0.0000 0.0000 0.0000
Rh1 Rh 0.0000 0.0000 0.1636
```

***

PSe5: theoretical powder XRD pattern (Cu Kα X-rays), based on a cell relaxed with PBE.
Neutral-atom scattering factors, no anomalous dispersion.

Peak list (8 most intense, 15° ≤ 2θ ≤ 90°, in order of rising 2θ)
h k l	two_theta	I (rel.)
2 0 -2	21.1	41
0 0 2	25.3	20
4 0 -2	28.5	49
1 1 1	31.8	100
3 1 -1	33.1	17
1 1 2	40.5	25
5 1 -1	45.0	33
0 2 0	52.5	18

Structural model:
```
data_PSe5
_chemical_formula_sum 'P2 Se10'
_symmetry_space_group_name_H-M 'C 1 m 1'
_symmetry_Int_Tables_number 8
_cell_length_a 12.9173
_cell_length_b 3.4834
_cell_length_c 8.4639
_cell_angle_alpha 90.00
_cell_angle_beta 123.80
_cell_angle_gamma 90.00
loop_
_symmetry_equiv_pos_as_xyz
'x,y,z'
'x,-y,z'
'x+1/2,y+1/2,z'
'x+1/2,-y+1/2,z'
loop_
_atom_site_label
_atom_site_type_symbol
_atom_site_fract_x
_atom_site_fract_y
_atom_site_fract_z
P1 P 0.0000 0.0000 0.0000
Se1 Se 0.1395 0.5000 0.3289
Se2 Se 0.1525 0.0000 0.9286
Se3 Se 0.3187 0.5000 0.1702
Se4 Se 0.3772 0.0000 0.7830
Se5 Se 0.4935 0.0000 0.4092
```

***

Ba8P5H: theoretical powder XRD pattern (Cu Kα X-rays), based on a cell relaxed with PBE.
Neutral-atom scattering factors, no anomalous dispersion.

Peak list (8 most intense, 15° ≤ 2θ ≤ 90°, in order of rising 2θ)
h k l	two_theta	I (rel.)
1 1 2	22.2	61
2 0 2	25.6	60
1 0 3	28.6	47
1 3 0	28.8	100
1 2 3	34.1	60
2 3 1	34.2	30
1 3 4	47.1	26
4 3 1	47.2	53

Structural model:
```
data_Ba8P5H
_chemical_formula_sum 'Ba16 P10 H2'
_symmetry_space_group_name_H-M 'I -4'
_symmetry_Int_Tables_number 82
_cell_length_a 9.8078
_cell_length_b 9.8078
_cell_length_c 9.8632
_cell_angle_alpha 90.00
_cell_angle_beta 90.00
_cell_angle_gamma 90.00
loop_
_symmetry_equiv_pos_as_xyz
'x,y,z'
'y,-x,-z'
'-x,-y,z'
'-y,x,-z'
'x+1/2,y+1/2,z+1/2'
'y+1/2,-x+1/2,-z+1/2'
'-x+1/2,-y+1/2,z+1/2'
'-y+1/2,x+1/2,-z+1/2'
loop_
_atom_site_label
_atom_site_type_symbol
_atom_site_fract_x
_atom_site_fract_y
_atom_site_fract_z
Ba1 Ba 0.0643 0.3085 0.4290
Ba2 Ba 0.0689 0.1828 0.8107
P1 P 0.0000 0.0000 0.5000
P2 P 0.1287 0.2453 0.1230
H1 H 0.0000 0.5000 0.7500
```

***

KCeAs2O8: theoretical powder XRD pattern (Cu Kα X-rays), based on a cell relaxed with PBE.
Neutral-atom scattering factors, no anomalous dispersion.

Peak list (8 most intense, 15° ≤ 2θ ≤ 90°, in order of rising 2θ)
h k l	two_theta	I (rel.)
1 0 0	17.8	16
0 1 1	21.1	100
0 1 2	29.0	58
1 1 0	31.1	49
0 2 2	43.0	27
1 2 1	49.8	18
3 -2 2	54.0	19
1 1 4	56.9	20

Structural model:
```
data_KCeAs2O8
_chemical_formula_sum 'K1 Ce1 As2 O8'
_symmetry_space_group_name_H-M 'P -3'
_symmetry_Int_Tables_number 147
_cell_length_a 5.7564
_cell_length_b 5.7564
_cell_length_c 7.8195
_cell_angle_alpha 90.00
_cell_angle_beta 90.00
_cell_angle_gamma 120.00
loop_
_symmetry_equiv_pos_as_xyz
'x,y,z'
'-x,-y,-z'
'-y,x-y,z'
'y,-x+y,-z'
'-x+y,-x,z'
'x-y,x,-z'
loop_
_atom_site_label
_atom_site_type_symbol
_atom_site_fract_x
_atom_site_fract_y
_atom_site_fract_z
K1 K 0.0000 0.0000 0.0000
Ce1 Ce 0.0000 0.0000 0.5000
As1 As 0.3333 0.6667 0.7514
O1 O 0.1260 0.3458 0.6786
O2 O 0.3333 0.6667 0.9709
```

***

Ba3Cu3Pt2: theoretical powder XRD pattern (Cu Kα X-rays), based on a cell relaxed with PBE.
Neutral-atom scattering factors, no anomalous dispersion.

Peak list (8 most intense, 15° ≤ 2θ ≤ 90°, in order of rising 2θ)
h k l	two_theta	I (rel.)
0 2 1	16.1	29
1 3 0	30.3	100
0 4 0	30.6	16
0 0 6	32.3	25
1 3 4	37.4	24
0 4 4	37.6	18
2 0 0	40.1	26
1 3 5	40.9	21

Structural model:
```
data_Ba3Cu3Pt2
_chemical_formula_sum 'Ba12 Cu12 Pt8'
_symmetry_space_group_name_H-M 'C m c m'
_symmetry_Int_Tables_number 63
_symmetry_space_group_name_Hall '-C 2c 2'
_cell_length_a 4.4953
_cell_length_b 11.6961
_cell_length_c 16.6364
_cell_angle_alpha 90.00
_cell_angle_beta 90.00
_cell_angle_gamma 90.00
loop_
_atom_site_label
_atom_site_type_symbol
_atom_site_fract_x
_atom_site_fract_y
_atom_site_fract_z
Ba1 Ba 0.0000 0.0630 0.2500
Ba2 Ba 0.0000 0.3540 0.0873
Cu1 Cu 0.0000 0.0711 0.0551
Cu2 Cu 0.0000 0.2397 0.7500
Pt1 Pt 0.0000 0.3575 0.6151
```